This entry pairs a crystal structure of TbPrTe4 with its simulated powder X-ray diffraction pattern. Radiation: a wavelength of 1.5418 Å. Structure: a cell relaxed with GGA-PBE.

Principal peaks in the range 10 to 90 degrees two-theta, in order of rising 2θ:
- 2θ 28.1, d = 3.172 Å, rel. 247, (1 1 0)
- 2θ 29.5, d = 3.025 Å, rel. 373, (0 0 3)
- 2θ 29.8, d = 2.994 Å, rel. 1000, (1 1 1)
- 2θ 34.5, d = 2.600 Å, rel. 976, (1 1 2)
- 2θ 35.8, d = 2.508 Å, rel. 553, (1 0 3)
- 2θ 40.2, d = 2.243 Å, rel. 668, (2 0 0)
- 2θ 50.7, d = 1.802 Å, rel. 329, (2 0 3)
- 2θ 54.9, d = 1.672 Å, rel. 322, (2 1 3)
- 2θ 58.2, d = 1.586 Å, rel. 225, (2 2 0)
- 2θ 69.4, d = 1.354 Å, rel. 253, (3 1 2)

Crystal structure
a = 4.4858 Å, b = 4.4858 Å, c = 9.0758 Å
α = 90.00°, β = 90.00°, γ = 90.00°
Space group P4mm (No. 99)
Symmetry-distinct sites (fractional):
Tb (0.0000, 0.0000, 0.0000) (multiplicity 1)
Pr (0.5000, 0.5000, 0.5429) (multiplicity 1)
Te (0.0000, 0.0000, 0.6475) (multiplicity 1)
Te (0.0000, 0.5000, 0.2664) (multiplicity 2)
Te (0.5000, 0.5000, 0.9061) (multiplicity 1)

---

This entry pairs a crystal structure of TmAgP2Se6 with its simulated powder X-ray diffraction pattern. Radiation: a wavelength of 1.5418 Å. Structure: a cell relaxed with GGA-PBE.

Principal peaks in the range 10 to 90 degrees two-theta, in order of rising 2θ:
- 2θ 12.4, d = 7.117 Å, rel. 442, (0 0 2)
- 2θ 29.7, d = 3.005 Å, rel. 1000, (1 1 2)
- 2θ 37.1, d = 2.425 Å, rel. 492, (2 -1 4)
- 2θ 47.1, d = 1.929 Å, rel. 212, (2 -1 6)
- 2θ 47.5, d = 1.914 Å, rel. 331, (3 0 0)
- 2θ 57.1, d = 1.614 Å, rel. 145, (4 -2 2)
- 2θ 61.7, d = 1.502 Å, rel. 104, (2 2 4)
- 2θ 72.5, d = 1.303 Å, rel. 136, (3 0 8)
- 2θ 77.3, d = 1.234 Å, rel. 112, (4 1 2)
- 2θ 81.4, d = 1.182 Å, rel. 92, (5 -1 4)

Crystal structure
a = 6.6293 Å, b = 6.6293 Å, c = 14.2335 Å
α = 90.00°, β = 90.00°, γ = 120.00°
Space group P-31c (No. 163)
Symmetry-distinct sites (fractional):
Tm (0.0000, 0.0000, 0.2500) (multiplicity 2)
Ag (0.3333, 0.6667, 0.2500) (multiplicity 2)
P (0.3333, 0.6667, 0.6700) (multiplicity 4)
Se (0.0218, 0.3415, 0.6230) (multiplicity 12)

---

This entry pairs a crystal structure of RbSi5Mo3 with its simulated powder X-ray diffraction pattern. Radiation: a wavelength of 1.5418 Å. Structure: a cell relaxed with GGA-PBE.

Principal peaks in the range 10 to 90 degrees two-theta, in order of rising 2θ:
- 2θ 10.4, d = 8.523 Å, rel. 1000, (0 0 1)
- 2θ 20.8, d = 4.261 Å, rel. 306, (0 0 2)
- 2θ 22.1, d = 4.021 Å, rel. 447, (1 0 1)
- 2θ 35.7, d = 2.516 Å, rel. 135, (1 1 1)
- 2θ 37.3, d = 2.411 Å, rel. 120, (1 0 3)
- 2θ 39.5, d = 2.281 Å, rel. 252, (2 0 0)
- 2θ 41.0, d = 2.203 Å, rel. 205, (2 0 1)
- 2θ 42.4, d = 2.131 Å, rel. 150, (0 0 4)
- 2θ 45.1, d = 2.011 Å, rel. 596, (2 0 2)
- 2θ 59.4, d = 1.557 Å, rel. 147, (2 0 4)

Crystal structure
a = 5.2667 Å, b = 5.2667 Å, c = 8.5226 Å
α = 90.00°, β = 90.00°, γ = 120.00°
Space group P6/mmm (No. 191)
Symmetry-distinct sites (fractional):
Rb (0.0000, 0.0000, 0.0000) (multiplicity 1)
Si (0.0000, 0.0000, 0.5000) (multiplicity 1)
Si (0.3333, 0.6667, 0.2479) (multiplicity 4)
Mo (0.0000, 0.5000, 0.5000) (multiplicity 3)

---

This entry pairs a crystal structure of Er2C3 with its simulated powder X-ray diffraction pattern. Radiation: a wavelength of 1.5418 Å. Structure: a cell relaxed with GGA-PBE.

Principal peaks in the range 10 to 90 degrees two-theta, in order of rising 2θ:
- 2θ 26.9, d = 3.317 Å, rel. 463, (2 1 1)
- 2θ 31.1, d = 2.872 Å, rel. 1000, (2 2 0)
- 2θ 34.9, d = 2.569 Å, rel. 940, (3 1 0)
- 2θ 41.6, d = 2.171 Å, rel. 476, (3 2 1)
- 2θ 52.9, d = 1.732 Å, rel. 277, (3 3 2)
- 2θ 55.4, d = 1.658 Å, rel. 148, (4 2 2)
- 2θ 57.9, d = 1.593 Å, rel. 621, (4 3 1)
- 2θ 62.6, d = 1.483 Å, rel. 282, (5 2 1)
- 2θ 75.9, d = 1.254 Å, rel. 184, (5 4 1)
- 2θ 88.4, d = 1.106 Å, rel. 205, (6 3 3)

Crystal structure
a = 8.1243 Å, b = 8.1243 Å, c = 8.1243 Å
α = 90.00°, β = 90.00°, γ = 90.00°
Space group I-43d (No. 220)
Symmetry-distinct sites (fractional):
Er (0.0500, 0.0500, 0.0500) (multiplicity 16)
C (0.0000, 0.2500, 0.2923) (multiplicity 24)

---

This entry pairs a crystal structure of CsEr2CuSeS3 with its simulated powder X-ray diffraction pattern. Radiation: a wavelength of 1.5418 Å. Structure: a cell relaxed with GGA-PBE.

Principal peaks in the range 10 to 90 degrees two-theta, in order of rising 2θ:
- 2θ 22.9, d = 3.885 Å, rel. 669, (0 2 3)
- 2θ 25.3, d = 3.525 Å, rel. 476, (0 4 0)
- 2θ 26.3, d = 3.383 Å, rel. 398, (1 1 2)
- 2θ 29.9, d = 2.985 Å, rel. 744, (1 3 1)
- 2θ 32.0, d = 2.799 Å, rel. 1000, (1 3 2)
- 2θ 34.5, d = 2.596 Å, rel. 292, (0 2 5)
- 2θ 39.8, d = 2.264 Å, rel. 343, (1 1 5)
- 2θ 43.8, d = 2.068 Å, rel. 379, (1 5 3)
- 2θ 43.9, d = 2.061 Å, rel. 394, (1 3 5)
- 2θ 45.1, d = 2.010 Å, rel. 319, (2 0 0)

Crystal structure
a = 4.0206 Å, b = 14.1008 Å, c = 13.9654 Å
α = 90.00°, β = 90.00°, γ = 90.00°
Space group Cmcm (No. 63)
Symmetry-distinct sites (fractional):
Cs (0.0000, 0.1137, 0.2500) (multiplicity 4)
Er (0.0000, 0.3662, 0.0577) (multiplicity 8)
Cu (0.0000, 0.1730, 0.7500) (multiplicity 4)
Se (0.0000, 0.4238, 0.2500) (multiplicity 4)
S (0.0000, 0.0000, 0.0000) (multiplicity 4)
S (0.0000, 0.2532, 0.6028) (multiplicity 8)

---

This entry pairs a crystal structure of NdDyAs2Pt2 with its simulated powder X-ray diffraction pattern. Radiation: a wavelength of 1.5418 Å. Structure: a cell relaxed with GGA-PBE.

Principal peaks in the range 10 to 90 degrees two-theta, in order of rising 2θ:
- 2θ 24.4, d = 3.642 Å, rel. 127, (1 0 1)
- 2θ 29.4, d = 3.043 Å, rel. 76, (1 0 3)
- 2θ 33.1, d = 2.706 Å, rel. 1000, (1 0 4)
- 2θ 41.8, d = 2.162 Å, rel. 573, (1 1 0)
- 2θ 46.4, d = 1.958 Å, rel. 139, (0 0 8)
- 2θ 54.3, d = 1.689 Å, rel. 246, (2 0 4)
- 2θ 64.2, d = 1.451 Å, rel. 317, (1 1 8)
- 2θ 70.8, d = 1.331 Å, rel. 230, (2 1 4)
- 2θ 76.3, d = 1.248 Å, rel. 98, (3 0 0)
- 2θ 77.4, d = 1.232 Å, rel. 85, (1 0 12)

Crystal structure
a = 4.3244 Å, b = 4.3244 Å, c = 15.6614 Å
α = 90.00°, β = 90.00°, γ = 120.00°
Space group P6_3/mmc (No. 194)
Symmetry-distinct sites (fractional):
Nd (0.0000, 0.0000, 0.2500) (multiplicity 2)
Dy (0.0000, 0.0000, 0.0000) (multiplicity 2)
As (0.3333, 0.6667, 0.1191) (multiplicity 4)
Pt (0.3333, 0.6667, 0.6234) (multiplicity 4)

---

This entry pairs a crystal structure of Pr2NdCd4In2 with its simulated powder X-ray diffraction pattern. Radiation: a wavelength of 1.5418 Å. Structure: a cell relaxed with GGA-PBE.

Principal peaks in the range 10 to 90 degrees two-theta, in order of rising 2θ:
- 2θ 30.0, d = 2.981 Å, rel. 786, (1 3 1)
- 2θ 32.9, d = 2.720 Å, rel. 1000, (1 4 0)
- 2θ 35.7, d = 2.513 Å, rel. 434, (0 1 3)
- 2θ 38.0, d = 2.366 Å, rel. 338, (2 0 0)
- 2θ 40.7, d = 2.218 Å, rel. 372, (0 3 3)
- 2θ 53.2, d = 1.722 Å, rel. 271, (2 1 3)
- 2θ 53.3, d = 1.718 Å, rel. 173, (1 5 3)
- 2θ 56.9, d = 1.617 Å, rel. 138, (2 6 0)
- 2θ 64.1, d = 1.452 Å, rel. 194, (1 1 5)
- 2θ 65.5, d = 1.425 Å, rel. 132, (3 4 0)

Crystal structure
a = 4.7313 Å, b = 13.2828 Å, c = 7.6832 Å
α = 90.00°, β = 90.00°, γ = 90.00°
Space group Amm2 (No. 38)
Symmetry-distinct sites (fractional):
Pr (0.0000, 0.2109, 0.0000) (multiplicity 4)
Nd (0.0000, 0.0000, 0.3672) (multiplicity 2)
Cd (0.0000, 0.0000, 0.7875) (multiplicity 2)
Cd (0.5000, 0.0000, 0.0285) (multiplicity 2)
Cd (0.5000, 0.1198, 0.6688) (multiplicity 4)
In (0.5000, 0.1660, 0.2892) (multiplicity 4)

---

This entry pairs a crystal structure of DyBO5 with its simulated powder X-ray diffraction pattern. Radiation: a wavelength of 1.5418 Å. Structure: a cell relaxed with GGA-PBE.

Principal peaks in the range 10 to 90 degrees two-theta, in order of rising 2θ:
- 2θ 20.7, d = 4.288 Å, rel. 670, (0 0 1)
- 2θ 22.3, d = 3.990 Å, rel. 1000, (1 0 0)
- 2θ 24.2, d = 3.673 Å, rel. 529, (0 1 -1)
- 2θ 25.1, d = 3.552 Å, rel. 296, (1 0 -1)
- 2θ 29.3, d = 3.046 Å, rel. 404, (1 -1 0)
- 2θ 30.6, d = 2.926 Å, rel. 371, (1 1 -1)
- 2θ 35.4, d = 2.536 Å, rel. 340, (1 0 1)
- 2θ 36.7, d = 2.448 Å, rel. 226, (-1 1 1)
- 2θ 39.7, d = 2.268 Å, rel. 234, (0 1 -2)
- 2θ 48.1, d = 1.893 Å, rel. 214, (2 -1 0)

Crystal structure
a = 4.2146 Å, b = 4.2999 Å, c = 4.8280 Å
α = 110.05°, β = 107.28°, γ = 91.45°
Space group P1 (No. 1)
Symmetry-distinct sites (fractional):
Dy (0.0000, 0.0000, 0.0000) (multiplicity 1)
B (0.7042, 0.5134, 0.2751) (multiplicity 1)
O (0.1868, 0.2280, 0.6041) (multiplicity 1)
O (0.3069, 0.5349, 0.7336) (multiplicity 1)
O (0.5482, 0.1866, 0.1603) (multiplicity 1)
O (0.6731, 0.7598, 0.5259) (multiplicity 1)
O (0.9311, 0.5614, 0.1300) (multiplicity 1)

---

This entry pairs a crystal structure of Hf3Ir2W2 with its simulated powder X-ray diffraction pattern. Radiation: a wavelength of 1.5418 Å. Structure: a cell relaxed with GGA-PBE.

Principal peaks in the range 10 to 90 degrees two-theta, in order of rising 2θ:
- 2θ 23.0, d = 3.874 Å, rel. 69, (1 0 1)
- 2θ 24.0, d = 3.707 Å, rel. 80, (0 1 2)
- 2θ 30.4, d = 2.941 Å, rel. 89, (0 1 5)
- 2θ 39.7, d = 2.271 Å, rel. 1000, (1 1 0)
- 2θ 39.8, d = 2.264 Å, rel. 958, (0 1 8)
- 2θ 57.5, d = 1.603 Å, rel. 332, (2 0 8)
- 2θ 72.1, d = 1.310 Å, rel. 516, (3 0 0)
- 2θ 72.4, d = 1.306 Å, rel. 152, (1 0 16)
- 2θ 85.5, d = 1.136 Å, rel. 115, (2 2 0)
- 2θ 85.8, d = 1.132 Å, rel. 99, (0 2 16)

Crystal structure
a = 4.5428 Å, b = 4.5428 Å, c = 22.1462 Å
α = 90.00°, β = 90.00°, γ = 120.00°
Space group R3m (No. 160, hexagonal axes)
Symmetry-distinct sites (fractional):
Hf (0.0000, 0.0000, 0.0000) (multiplicity 3)
Hf (0.0000, 0.0000, 0.2480) (multiplicity 3)
Hf (0.0000, 0.0000, 0.7507) (multiplicity 3)
Ir (0.0000, 0.0000, 0.3760) (multiplicity 3)
Ir (0.0000, 0.0000, 0.8687) (multiplicity 3)
W (0.0000, 0.0000, 0.1298) (multiplicity 3)
W (0.0000, 0.0000, 0.6193) (multiplicity 3)

---

This entry pairs a crystal structure of PrNdP2Os2O2 with its simulated powder X-ray diffraction pattern. Radiation: a wavelength of 1.5418 Å. Structure: a cell relaxed with GGA-PBE.

Principal peaks in the range 10 to 90 degrees two-theta, in order of rising 2θ:
- 2θ 10.7, d = 8.294 Å, rel. 588, (0 0 1)
- 2θ 21.4, d = 4.147 Å, rel. 344, (0 0 2)
- 2θ 24.5, d = 3.639 Å, rel. 285, (1 0 1)
- 2θ 30.9, d = 2.897 Å, rel. 607, (1 0 2)
- 2θ 32.4, d = 2.765 Å, rel. 338, (0 0 3)
- 2θ 33.1, d = 2.707 Å, rel. 1000, (1 1 1)
- 2θ 38.2, d = 2.356 Å, rel. 701, (1 1 2)
- 2θ 44.8, d = 2.025 Å, rel. 534, (2 0 0)
- 2θ 54.6, d = 1.679 Å, rel. 531, (1 1 4)
- 2θ 56.3, d = 1.634 Å, rel. 296, (2 0 3)

Crystal structure
a = 4.0499 Å, b = 4.0499 Å, c = 8.2937 Å
α = 90.00°, β = 90.00°, γ = 90.00°
Space group P4mm (No. 99)
Symmetry-distinct sites (fractional):
Pr (0.0000, 0.0000, 0.0000) (multiplicity 1)
Nd (0.5000, 0.5000, 0.2867) (multiplicity 1)
P (0.0000, 0.0000, 0.4986) (multiplicity 1)
P (0.5000, 0.5000, 0.7889) (multiplicity 1)
Os (0.0000, 0.5000, 0.6436) (multiplicity 2)
O (0.0000, 0.5000, 0.1457) (multiplicity 2)

---

This entry pairs a crystal structure of YCdIn with its simulated powder X-ray diffraction pattern. Radiation: a wavelength of 1.5418 Å. Structure: a cell relaxed with GGA-PBE.

Principal peaks in the range 10 to 90 degrees two-theta, in order of rising 2θ:
- 2θ 24.7, d = 3.599 Å, rel. 140, (0 2 0)
- 2θ 32.6, d = 2.747 Å, rel. 1000, (0 2 2)
- 2θ 36.6, d = 2.458 Å, rel. 623, (1 0 3)
- 2θ 36.7, d = 2.451 Å, rel. 309, (2 0 0)
- 2θ 44.7, d = 2.028 Å, rel. 172, (2 2 0)
- 2θ 49.7, d = 1.833 Å, rel. 118, (0 2 4)
- 2θ 49.8, d = 1.830 Å, rel. 200, (2 2 2)
- 2θ 63.3, d = 1.469 Å, rel. 209, (1 2 5)
- 2θ 64.2, d = 1.452 Å, rel. 259, (2 4 0)
- 2θ 65.9, d = 1.417 Å, rel. 104, (3 0 3)

Crystal structure
a = 4.9025 Å, b = 7.1981 Å, c = 8.5222 Å
α = 90.00°, β = 90.00°, γ = 90.00°
Space group Imm2 (No. 44)
Symmetry-distinct sites (fractional):
Y (0.0000, 0.0000, 0.0000) (multiplicity 2)
Y (0.0000, 0.5000, 0.0013) (multiplicity 2)
Cd (0.0000, 0.2210, 0.3325) (multiplicity 4)
In (0.0000, 0.2315, 0.6677) (multiplicity 4)

---

This entry pairs a crystal structure of Pm3Te2 with its simulated powder X-ray diffraction pattern. Radiation: a wavelength of 1.5418 Å. Structure: a cell relaxed with GGA-PBE.

Principal peaks in the range 10 to 90 degrees two-theta, in order of rising 2θ:
- 2θ 26.7, d = 3.336 Å, rel. 446, (1 1 2)
- 2θ 29.7, d = 3.011 Å, rel. 450, (2 1 2)
- 2θ 30.3, d = 2.952 Å, rel. 380, (4 0 1)
- 2θ 30.7, d = 2.910 Å, rel. 1000, (0 1 3)
- 2θ 31.4, d = 2.849 Å, rel. 515, (3 1 1)
- 2θ 31.6, d = 2.830 Å, rel. 478, (1 1 3)
- 2θ 33.3, d = 2.690 Å, rel. 327, (2 0 4)
- 2θ 34.0, d = 2.635 Å, rel. 584, (3 1 2)
- 2θ 39.4, d = 2.287 Å, rel. 344, (4 1 2)
- 2θ 42.6, d = 2.121 Å, rel. 459, (0 2 0)

Crystal structure
a = 12.1826 Å, b = 4.2422 Å, c = 11.9913 Å
α = 90.00°, β = 90.00°, γ = 90.00°
Space group Pnma (No. 62)
Symmetry-distinct sites (fractional):
Pm (0.0462, 0.2500, 0.1239) (multiplicity 4)
Pm (0.1206, 0.7500, 0.5640) (multiplicity 4)
Pm (0.2137, 0.2500, 0.7927) (multiplicity 4)
Te (0.0283, 0.7500, 0.3169) (multiplicity 4)
Te (0.1935, 0.7500, 0.9955) (multiplicity 4)

---

This entry pairs a crystal structure of Cu2Ag3 with its simulated powder X-ray diffraction pattern. Radiation: a wavelength of 1.5418 Å. Structure: a cell relaxed with GGA-PBE.

Principal peaks in the range 10 to 90 degrees two-theta, in order of rising 2θ:
- 2θ 23.0, d = 3.870 Å, rel. 21, (1 1 0)
- 2θ 24.2, d = 3.684 Å, rel. 18, (0 2 1)
- 2θ 39.4, d = 2.287 Å, rel. 1000, (1 5 1)
- 2θ 45.7, d = 1.984 Å, rel. 318, (0 0 2)
- 2θ 46.0, d = 1.973 Å, rel. 158, (2 0 0)
- 2θ 66.7, d = 1.403 Å, rel. 95, (0 10 2)
- 2θ 66.9, d = 1.399 Å, rel. 191, (2 0 2)
- 2θ 80.3, d = 1.196 Å, rel. 220, (1 5 3)
- 2θ 80.7, d = 1.191 Å, rel. 111, (3 5 1)
- 2θ 84.8, d = 1.143 Å, rel. 97, (2 10 2)

Crystal structure
a = 3.9459 Å, b = 19.8444 Å, c = 3.9681 Å
α = 90.00°, β = 90.00°, γ = 90.00°
Space group Cmmm (No. 65)
Symmetry-distinct sites (fractional):
Cu (0.0000, 0.1045, 0.0000) (multiplicity 4)
Cu (0.0000, 0.2013, 0.5000) (multiplicity 4)
Ag (0.0000, 0.0000, 0.5000) (multiplicity 2)
Ag (0.0000, 0.2989, 0.0000) (multiplicity 4)
Ag (0.0000, 0.3961, 0.5000) (multiplicity 4)
Ag (0.0000, 0.5000, 0.0000) (multiplicity 2)